Structure and computed powder XRD pattern of Ho3Cd2Hg (a structure optimized by DFT (PBE); Cu Ka).
Peak positions follow from Bragg's law for the DFT cell and can differ from measured ones.

Crystal structure
Cell: 5.2509 5.2509 6.4596 Å, 90.00 90.00 120.00°
Atoms (fractional coordinates):
Ho (0.0000, 0.0000, 0.0000)
Ho (0.3333, 0.6667, 0.6606)
Ho (0.6667, 0.3333, 0.3394)
Cd (0.3333, 0.6667, 0.1543)
Cd (0.6667, 0.3333, 0.8457)
Hg (0.0000, 0.0000, 0.5000)

Principal peaks in the range 5° ≤ 2θ ≤ 70°, by angle:
2θ/deg, d/Å, Rel. int.
13.7, 6.460, 2
19.5, 4.547, 3
23.9, 3.718, 3
27.6, 3.230, 1
34.0, 2.633, 100
34.2, 2.625, 100
44.5, 2.037, 2
49.0, 1.859, 36
60.9, 1.522, 19
61.1, 1.517, 55

Structure and computed powder XRD pattern of TbPaIrPt (a structure optimized by DFT (PBE); Cu Ka).
Peak positions follow from Bragg's law for the DFT cell and can differ from measured ones.

Crystal structure
Cell: 4.1967 3.7387 11.2465 Å, 90.00 90.00 90.00°
Atoms (fractional coordinates):
Tb (0.0000, 0.0000, 0.0000)
Tb (0.0000, 0.5000, 0.5000)
Pa (0.5000, 0.0000, 0.7249)
Pa (0.5000, 0.5000, 0.2249)
Ir (0.0000, 0.0000, 0.2560)
Ir (0.0000, 0.5000, 0.7560)
Pt (0.5000, 0.0000, 0.4442)
Pt (0.5000, 0.5000, 0.9442)

Principal peaks in the range 5° ≤ 2θ ≤ 70°, by angle:
2θ/deg, d/Å, Rel. int.
31.8, 2.812, 43
33.1, 2.709, 100
33.9, 2.647, 12
38.5, 2.336, 18
40.3, 2.239, 78
43.1, 2.098, 28
48.7, 1.869, 20
54.6, 1.682, 19
59.4, 1.557, 15
67.1, 1.396, 15

Structure and computed powder XRD pattern of Mg5In2Ag (a structure optimized by DFT (PBE); Cu Ka).
Peak positions follow from Bragg's law for the DFT cell and can differ from measured ones.

Crystal structure
Cell: 6.5121 7.8205 6.8932 Å, 90.00 90.00 90.00°
Atoms (fractional coordinates):
Mg (0.0000, 0.0000, 0.0000)
Mg (0.2470, 0.2174, 0.7009)
Mg (0.2470, 0.7826, 0.7009)
Mg (0.2530, 0.2826, 0.2009)
Mg (0.2530, 0.7174, 0.2009)
Mg (0.5000, 0.5000, 0.5000)
Mg (0.7470, 0.2826, 0.2009)
Mg (0.7470, 0.7174, 0.2009)
Mg (0.7530, 0.2174, 0.7009)
Mg (0.7530, 0.7826, 0.7009)
In (0.0000, 0.5000, 0.4793)
In (0.0000, 0.5000, 0.9211)
In (0.5000, 0.0000, 0.4211)
In (0.5000, 0.0000, 0.9793)
Ag (0.0000, 0.0000, 0.4212)
Ag (0.5000, 0.5000, 0.9212)

Principal peaks in the range 5° ≤ 2θ ≤ 70°, by angle:
2θ/deg, d/Å, Rel. int.
17.1, 5.171, 28
22.7, 3.910, 57
25.9, 3.447, 32
27.4, 3.256, 34
34.7, 2.586, 98
35.9, 2.502, 100
38.0, 2.367, 78
44.8, 2.025, 31
61.5, 1.507, 31
68.1, 1.378, 25

Structure and computed powder XRD pattern of Na5B7C3 (a structure optimized by DFT (PBE); Cu Ka).
Peak positions follow from Bragg's law for the DFT cell and can differ from measured ones.

Crystal structure
Cell: 2.8914 2.8914 42.7914 Å, 90.00 90.00 120.00°
Atoms (fractional coordinates):
Na (0.0000, 0.0000, 0.0000)
Na (0.0000, 0.0000, 0.0988)
Na (0.0000, 0.0000, 0.2003)
Na (0.0000, 0.0000, 0.2997)
Na (0.0000, 0.0000, 0.4012)
Na (0.0000, 0.0000, 0.5000)
Na (0.0000, 0.0000, 0.5988)
Na (0.0000, 0.0000, 0.7003)
Na (0.0000, 0.0000, 0.7997)
Na (0.0000, 0.0000, 0.9012)
B (0.3333, 0.6667, 0.0491)
B (0.3333, 0.6667, 0.1495)
B (0.3333, 0.6667, 0.2500)
B (0.3333, 0.6667, 0.3505)
B (0.3333, 0.6667, 0.4509)
B (0.3333, 0.6667, 0.6495)
B (0.3333, 0.6667, 0.8505)
B (0.6667, 0.3333, 0.1495)
B (0.6667, 0.3333, 0.3505)
B (0.6667, 0.3333, 0.5491)
B (0.6667, 0.3333, 0.6495)
B (0.6667, 0.3333, 0.7500)
B (0.6667, 0.3333, 0.8505)
B (0.6667, 0.3333, 0.9509)
C (0.3333, 0.6667, 0.5491)
C (0.3333, 0.6667, 0.7500)
C (0.3333, 0.6667, 0.9509)
C (0.6667, 0.3333, 0.0491)
C (0.6667, 0.3333, 0.2500)
C (0.6667, 0.3333, 0.4509)

Principal peaks in the range 5° ≤ 2θ ≤ 70°, by angle:
2θ/deg, d/Å, Rel. int.
8.3, 10.698, 1
20.8, 4.279, 1
35.9, 2.504, 18
41.8, 2.161, 100
42.2, 2.140, 25
56.6, 1.627, 10
64.5, 1.446, 17
68.5, 1.370, 2

Structure and computed powder XRD pattern of Ag2SnPd3 (a structure optimized by DFT (PBE); Cu Ka).
Peak positions follow from Bragg's law for the DFT cell and can differ from measured ones.

Crystal structure
Cell: 4.7873 6.0329 7.1709 Å, 89.91 80.71 89.92°
Atoms (fractional coordinates):
Ag (0.0000, 0.0000, 0.0000)
Ag (0.0000, 0.5000, 0.0000)
Ag (0.3172, 0.9999, 0.3279)
Ag (0.6828, 0.0001, 0.6721)
Sn (0.3196, 0.5000, 0.3166)
Sn (0.6804, 0.5000, 0.6834)
Pd (0.1890, 0.2592, 0.6553)
Pd (0.1892, 0.7410, 0.6553)
Pd (0.4998, 0.2501, 0.0001)
Pd (0.5002, 0.7499, 0.9999)
Pd (0.8108, 0.2590, 0.3447)
Pd (0.8110, 0.7408, 0.3447)

Principal peaks in the range 5° ≤ 2θ ≤ 70°, by angle:
2θ/deg, d/Å, Rel. int.
38.2, 2.358, 100
38.7, 2.329, 97
39.2, 2.296, 1
41.9, 2.155, 77
45.7, 1.986, 1
49.8, 1.833, 22
60.1, 1.540, 12
61.5, 1.508, 12
66.4, 1.408, 1
67.0, 1.396, 35

Structure and computed powder XRD pattern of Tm7Pb5 (a structure optimized by DFT (PBE); Cu Ka).
Peak positions follow from Bragg's law for the DFT cell and can differ from measured ones.

Crystal structure
Cell: 6.9915 6.9915 11.8075 Å, 110.39 110.39 40.86°
Atoms (fractional coordinates):
Tm (0.0000, 0.0000, 0.0000)
Tm (0.1504, 0.1504, 0.7999)
Tm (0.1521, 0.1521, 0.5076)
Tm (0.4195, 0.4195, 0.7393)
Tm (0.5805, 0.5805, 0.2607)
Tm (0.8479, 0.8479, 0.4924)
Tm (0.8496, 0.8496, 0.2001)
Pb (0.2347, 0.2347, 0.2861)
Pb (0.3659, 0.3659, 0.0286)
Pb (0.5000, 0.5000, 0.5000)
Pb (0.6341, 0.6341, 0.9714)
Pb (0.7653, 0.7653, 0.7139)

Principal peaks in the range 5° ≤ 2θ ≤ 70°, by angle:
2θ/deg, d/Å, Rel. int.
25.6, 3.479, 9
28.6, 3.121, 11
32.0, 2.799, 100
32.7, 2.740, 20
36.8, 2.441, 24
39.4, 2.286, 7
40.8, 2.213, 9
50.1, 1.822, 13
57.9, 1.593, 9
63.3, 1.469, 15